The following is a calculated XRD peak list of Pm2DyAs. It was derived from the PBE geometry in Alexandria, using Cu Kα (λ = 1.5418 Å).

The 8 most intense peaks (2θ = 15–90°), sorted by position:
28.0 deg, I 18.8; 28.9 deg, I 100.0; 30.5 deg, I 24.9; 36.3 deg, I 33.2; 46.0 deg, I 32.9; 49.2 deg, I 13.4; 54.7 deg, I 17.7; 55.3 deg, I 16.3

Crystal structure
```
data_Pm2DyAs
_cell_length_a 3.9467
_cell_length_b 3.9467
_cell_length_c 28.6444
_cell_angle_alpha 90.00
_cell_angle_beta 90.00
_cell_angle_gamma 120.00
_symmetry_space_group_name_H-M 'R -3 m'
_symmetry_Int_Tables_number 166
_symmetry_space_group_name_Hall '-R 3 2"'
loop_
_atom_site_label
_atom_site_type_symbol
_atom_site_fract_x
_atom_site_fract_y
_atom_site_fract_z
Pm1 Pm 0.0000 0.0000 0.2290
Dy1 Dy 0.0000 0.0000 0.0000
As1 As 0.0000 0.0000 0.5000
```